(1)
The following is a theoretical powder diffractogram of MnZnFeN. It was derived from a cell relaxed with GGA-PBE, using λ = 1.5418 Å (Cu Kα).
Kinematic intensities with the Lorentz-polarization factor, no thermal factor.

Structure:
```
4
Lattice="1.394 0.805 6.390 -1.394 0.805 6.390 0.000 -1.609 6.390" Properties=species:S:1:pos:R:3 pbc="T T T"
Mn 0.000 0.000 0.000
Zn 0.000 0.000 10.646
Fe 0.000 0.000 14.934
N 0.000 0.000 7.456
```

Peak list (8 most intense, 2θ = 10–80°, in order of rising 2θ)
d = 2.395 Å, intensity 32
d = 2.341 Å, intensity 19
d = 2.156 Å, intensity 90
d = 2.130 Å, intensity 41
d = 2.043 Å, intensity 100
d = 1.701 Å, intensity 16
d = 1.394 Å, intensity 36
d = 1.258 Å, intensity 18

---

(2)
The following is a theoretical powder diffractogram of MnNb6Fe. It was derived from a cell relaxed with GGA-PBE, using λ = 1.5418 Å (Cu Kα).
Kinematic intensities with the Lorentz-polarization factor, no thermal factor.

Structure:
```
8
Lattice="-2.261 2.261 6.443 2.261 -2.261 6.443 2.261 2.261 -6.443" Properties=species:S:1:pos:R:3 pbc="T T T"
Mn 0.000 0.000 0.000
Nb 2.261 0.000 1.510
Nb 0.000 0.000 3.209
Nb 2.261 0.000 4.933
Nb 0.000 2.261 1.510
Nb 0.000 0.000 9.677
Nb 0.000 2.261 4.933
Fe 0.000 0.000 6.443
```

Peak list (8 most intense, 2θ = 10–80°, in order of rising 2θ)
d = 2.864 Å, intensity 5
d = 2.269 Å, intensity 100
d = 2.261 Å, intensity 51
d = 1.611 Å, intensity 8
d = 1.599 Å, intensity 17
d = 1.557 Å, intensity 2
d = 1.312 Å, intensity 15
d = 1.307 Å, intensity 32